Entry 1:
Simulated powder XRD pattern of NdIO9 for Cu Kα, from the PBE geometry in the Materials Project.
Peak positions follow from Bragg's law for the DFT cell and can differ from measured ones.

Most intense lines, 2θ = 10–90°, low angle first:
hkl 1 0 0, 2θ 12.1, I = 100
hkl 0 1 1, 2θ 12.8, I = 22
hkl 1 1 -1, 2θ 13.1, I = 46
hkl 2 1 -1, 2θ 21.8, I = 18
hkl 2 0 0, 2θ 24.4, I = 19
hkl 2 2 -1, 2θ 26.2, I = 16
hkl 1 2 -3, 2θ 29.7, I = 35
hkl 2 2 -3, 2θ 30.1, I = 18
hkl 0 2 3, 2θ 34.2, I = 15
hkl 1 4 0, 2θ 35.8, I = 13

Atomic structure:
Cell: 9.0295 10.6878 11.1455 Å, 90.00 125.95 90.00°
Space group P2_1/c (No. 14)
Inequivalent atoms, fractional coordinates:
Nd1 0.0923 0.1476 0.1274
I1 0.0349 0.6441 0.7317
O1 0.0321 0.7461 0.1032
O2 0.0940 0.0320 0.9388
O3 0.1536 0.7425 0.3878
O4 0.1662 0.1538 0.7649
O5 0.2119 0.5218 0.8220
O6 0.4276 0.2423 0.1151
O7 0.4423 0.2088 0.5225
O8 0.4681 0.5132 0.2260
O9 0.4909 0.5554 0.6696

---

Entry 2:
Simulated powder XRD pattern of NdSI for Cu Kα, from the PBE geometry in the Materials Project.
Peak positions follow from Bragg's law for the DFT cell and can differ from measured ones.

Most intense lines, 2θ = 10–90°, low angle first:
hkl 0 2 1, 2θ 17.3, I = 13
hkl 1 2 1, 2θ 21.4, I = 24
hkl 0 0 2, 2θ 24.3, I = 21
hkl 2 0 0, 2θ 25.2, I = 33
hkl 1 2 2, 2θ 30.2, I = 29
hkl 1 4 1, 2θ 30.4, I = 100
hkl 2 0 2, 2θ 35.3, I = 29
hkl 0 2 3, 2θ 39.0, I = 12
hkl 1 2 3, 2θ 41.1, I = 14
hkl 3 4 1, 2θ 47.7, I = 14

Atomic structure:
Cell: 7.0814 14.4152 7.3180 Å, 90.00 90.00 90.00°
Space group Pbca (No. 61)
Inequivalent atoms, fractional coordinates:
Nd1 0.2417 0.0834 0.0302
S1 0.0014 0.0236 0.7422
I1 0.1820 0.7000 0.4053

---

Entry 3:
Simulated powder XRD pattern of NiI2 for Cu Kα, from the PBE geometry in the Materials Project.
Peak positions follow from Bragg's law for the DFT cell and can differ from measured ones.

Most intense lines, 2θ = 10–90°, low angle first:
hkl 0 0 3, 2θ 12.9, I = 39
hkl 0 0 6, 2θ 25.9, I = 16
hkl 0 1 2, 2θ 27.5, I = 50
hkl 1 0 4, 2θ 31.4, I = 100
hkl 1 0 7, 2θ 40.4, I = 16
hkl 0 1 8, 2θ 44.0, I = 33
hkl 1 1 0, 2θ 46.0, I = 36
hkl 1 1 6, 2θ 53.5, I = 13
hkl 0 2 4, 2θ 56.7, I = 18
hkl 2 1 4, 2θ 75.9, I = 15

Atomic structure:
Cell: 3.9500 3.9500 20.6295 Å, 90.00 90.00 120.00°
Space group R-3m (No. 166, hexagonal axes)
Inequivalent atoms, fractional coordinates:
Ni1 0.0000 0.0000 0.0000
I1 0.0000 0.0000 0.2604

---

Entry 4:
Simulated powder XRD pattern of NpI3 for Cu Kα, from the PBE geometry in the Materials Project.
Peak positions follow from Bragg's law for the DFT cell and can differ from measured ones.

Most intense lines, 2θ = 10–90°, low angle first:
hkl 0 2 0, 2θ 11.6, I = 100
hkl 1 3 0, 2θ 27.3, I = 30
hkl 1 3 1, 2θ 28.7, I = 97
hkl 0 2 3, 2θ 29.4, I = 45
hkl 1 1 3, 2θ 34.8, I = 55
hkl 1 5 1, 2θ 37.3, I = 28
hkl 1 3 3, 2θ 38.7, I = 28
hkl 0 6 2, 2θ 39.7, I = 34
hkl 2 2 3, 2θ 52.4, I = 27
hkl 2 6 2, 2θ 59.5, I = 34

Atomic structure:
Cell: 4.2627 15.2932 9.9495 Å, 90.00 90.00 90.00°
Space group Cmcm (No. 63)
Inequivalent atoms, fractional coordinates:
Np1 0.0000 0.2391 0.2500
I1 0.0000 0.1547 0.5682
I2 0.0000 0.4091 0.7500

---

Entry 5:
Simulated powder XRD pattern of NpI2O9 for Cu Kα, from the PBE geometry in the Materials Project.
Peak positions follow from Bragg's law for the DFT cell and can differ from measured ones.

Most intense lines, 2θ = 10–90°, low angle first:
hkl 1 1 0, 2θ 15.4, I = 17
hkl 1 1 1, 2θ 17.0, I = 27
hkl 1 0 2, 2θ 17.7, I = 15
hkl 1 1 2, 2θ 21.0, I = 100
hkl 2 0 2, 2θ 25.7, I = 75
hkl 0 2 3, 2θ 31.0, I = 23
hkl 3 1 0, 2θ 34.3, I = 31
hkl 1 3 1, 2θ 36.2, I = 18
hkl 3 1 4, 2θ 45.1, I = 18
hkl 1 3 5, 2θ 51.3, I = 17

Atomic structure:
Cell: 8.3159 7.9648 12.5370 Å, 90.00 90.00 90.00°
Space group Pbcn (No. 60)
Inequivalent atoms, fractional coordinates:
Np1 0.0000 0.0711 0.2500
I1 0.1771 0.3999 0.0420
O1 0.0000 0.1830 0.7500
O2 0.0898 0.3277 0.1666
O3 0.1046 0.3813 0.5344
O4 0.1249 0.0265 0.5983
O5 0.1793 0.0828 0.3306

---

Entry 6:
Simulated powder XRD pattern of NpI4O12 for Cu Kα, from the PBE geometry in the Materials Project.
Peak positions follow from Bragg's law for the DFT cell and can differ from measured ones.

Most intense lines, 2θ = 10–90°, low angle first:
hkl 1 1 0, 2θ 12.3, I = 17
hkl 2 0 0, 2θ 17.4, I = 17
hkl 2 1 1, 2θ 25.6, I = 100
hkl 1 3 0, 2θ 27.7, I = 13
hkl 0 0 2, 2θ 33.4, I = 11
hkl 4 0 0, 2θ 35.2, I = 16
hkl 2 3 1, 2θ 35.9, I = 25
hkl 3 1 2, 2θ 43.9, I = 12
hkl 4 0 2, 2θ 49.3, I = 14
hkl 5 2 1, 2θ 51.2, I = 26

Atomic structure:
Cell: 10.1908 10.1908 5.3656 Å, 90.00 90.00 90.00°
Space group P4_2/n (No. 86, origin choice 2)
Inequivalent atoms, fractional coordinates:
Np1 0.2500 0.2500 0.2500
I1 0.0217 0.7481 0.2193
O1 0.0594 0.3276 0.0528
O2 0.0987 0.3222 0.5547
O3 0.1297 0.8475 0.7548

---

Entry 7:
Simulated powder XRD pattern of I3O8 for Cu Kα, from the PBE geometry in the Materials Project.
Peak positions follow from Bragg's law for the DFT cell and can differ from measured ones.

Most intense lines, 2θ = 10–90°, low angle first:
hkl 0 1 1, 2θ 13.6, I = 11
hkl 0 2 0, 2θ 22.6, I = 13
hkl 2 0 -2, 2θ 23.1, I = 55
hkl 1 0 2, 2θ 25.8, I = 47
hkl 1 0 -4, 2θ 26.0, I = 33
hkl 1 2 0, 2θ 26.5, I = 100
hkl 0 2 2, 2θ 27.4, I = 20
hkl 2 2 -4, 2θ 36.2, I = 16
hkl 3 2 -2, 2θ 42.8, I = 15
hkl 2 2 -8, 2θ 58.7, I = 12

Atomic structure:
Cell: 7.6905 7.8852 13.8138 Å, 90.00 123.46 90.00°
Space group P2_1/c (No. 14)
Inequivalent atoms, fractional coordinates:
I1 0.0570 0.0453 0.3118
I2 0.3328 0.7305 0.0929
I3 0.4434 0.2379 0.1039
O1 0.0718 0.0496 0.8330
O2 0.0867 0.6552 0.8896
O3 0.1828 0.1768 0.5089
O4 0.2010 0.6125 0.2148
O5 0.2238 0.5641 0.5827
O6 0.4233 0.5559 0.8640
O7 0.4245 0.2472 0.2410
O8 0.4839 0.2068 0.9475

---

Entry 8:
Simulated powder XRD pattern of I2O5 for Cu Kα, from the PBE geometry in the Materials Project.
Peak positions follow from Bragg's law for the DFT cell and can differ from measured ones.

Most intense lines, 2θ = 10–90°, low angle first:
hkl 1 1 -1, 2θ 20.6, I = 20
hkl 0 0 2, 2θ 22.0, I = 61
hkl 2 1 0, 2θ 23.9, I = 100
hkl 2 1 -1, 2θ 24.1, I = 61
hkl 1 0 2, 2θ 25.8, I = 20
hkl 2 1 1, 2θ 28.4, I = 43
hkl 2 1 -2, 2θ 29.0, I = 29
hkl 4 0 0, 2θ 33.7, I = 20
hkl 0 2 1, 2θ 36.2, I = 39
hkl 4 2 -1, 2θ 47.8, I = 23

Atomic structure:
Cell: 11.1380 5.2213 8.4631 Å, 90.00 107.26 90.00°
Space group P2_1/c (No. 14)
Inequivalent atoms, fractional coordinates:
I1 0.1267 0.1121 0.2202
I2 0.3733 0.6769 0.1644
O1 0.0111 0.6490 0.6586
O2 0.1973 0.0357 0.4352
O3 0.2482 0.5379 0.6217
O4 0.3083 0.0067 0.7983
O5 0.4889 0.6434 0.8334